Structure and theoretical powder diffraction line list of NiC4O6 (a cell relaxed with GGA+U; Cu Kα (weighted mean of Kα1 and Kα2)).
Lines closer than 0.1° are merged.

Crystal structure
Lattice parameters (Å, degrees): 7.779 7.779 7.367 113.57 113.57 50.26
Sites, in units of the cell vectors:
Ni (0.000, 0.500, 0.000)
Ni (0.500, 0.000, 0.500)
C (0.002, 0.269, 0.212)
C (0.098, 0.822, 0.762)
C (0.178, 0.902, 0.738)
C (0.269, 0.002, 0.712)
C (0.731, 0.998, 0.288)
C (0.822, 0.098, 0.262)
C (0.902, 0.178, 0.238)
C (0.998, 0.731, 0.788)
O (0.101, 0.639, 0.943)
O (0.176, 0.255, 0.339)
O (0.209, 0.463, 0.227)
O (0.255, 0.176, 0.839)
O (0.361, 0.899, 0.557)
O (0.463, 0.209, 0.727)
O (0.537, 0.791, 0.273)
O (0.639, 0.101, 0.443)
O (0.745, 0.824, 0.161)
O (0.791, 0.537, 0.773)
O (0.824, 0.745, 0.661)
O (0.899, 0.361, 0.057)

Principal peaks in the range 10 to 90 degrees two-theta, sorted by position:
d [Å]	I (rel.)
6.318	100
4.910	48
3.996	99
3.768	13
3.303	12
3.055	13
2.955	29
2.336	15
2.294	18
1.998	12